Starting from the GGA-PBE geometry in the Materials Project, the powder diffraction line list of Al2FeN3 was calculated for λ = 1.5418 Å (Cu Kα).
Intensities are scaled so that the largest is 100.

Structural model:
abc: 5.493 5.493 5.090
angles: 90.00 90.00 60.04
Fractional positions:
Al (0.003, 0.332, 0.000)
Al (0.332, 0.003, 0.500)
Al (0.668, 0.997, 0.000)
Al (0.997, 0.668, 0.500)
Fe (0.331, 0.669, 0.005)
Fe (0.669, 0.331, 0.505)
N (0.012, 0.334, 0.625)
N (0.319, 0.681, 0.610)
N (0.334, 0.012, 0.125)
N (0.666, 0.988, 0.625)
N (0.681, 0.319, 0.110)
N (0.988, 0.666, 0.125)

Top 6 peaks for 2θ from 5° to 70°, sorted by position:
2θ/deg, I (rel.)
32.60, 75
35.27, 51
37.19, 100
58.17, 46
64.56, 42
69.89, 35